The following is a theoretical X-ray powder pattern of Li6MgNi7O16. It was derived from a cell relaxed with GGA+U, using Cu Kα, 1.54184 Å.
No peak broadening, texture or thermal motion is included.

a b c (Å): 4.921 5.119 11.277
angles (deg): 79.98 85.51 79.59
Fractional coordinates of all 30 atoms:
Li: 0.234 0.180 0.304
Li: 0.244 0.440 0.060
Li: 0.248 0.925 0.568
Li: 0.752 0.075 0.432
Li: 0.756 0.560 0.940
Li: 0.766 0.820 0.696
Mg: 0.000 0.500 0.500
Ni: 0.000 0.000 0.000
Ni: 0.011 0.259 0.749
Ni: 0.492 0.620 0.376
Ni: 0.498 0.865 0.124
Ni: 0.502 0.135 0.876
Ni: 0.508 0.380 0.624
Ni: 0.989 0.741 0.251
O: 0.128 0.045 0.149
O: 0.137 0.302 0.916
O: 0.141 0.833 0.403
O: 0.146 0.562 0.656
O: 0.346 0.541 0.238
O: 0.361 0.799 0.983
O: 0.385 0.082 0.722
O: 0.393 0.308 0.476
O: 0.607 0.692 0.524
O: 0.615 0.918 0.278
O: 0.639 0.201 0.017
O: 0.654 0.459 0.762
O: 0.854 0.438 0.344
O: 0.859 0.167 0.597
O: 0.863 0.698 0.084
O: 0.872 0.955 0.851

Main lines, low angle first (10 to 80 degrees two-theta):
2theta  d (Å)  Rel. int.
18.34  4.837  100.0
36.56  2.458  24.4
37.19  2.418  15.7
43.76  2.068  20.9
44.02  2.057  20.4
44.94  2.017  19.4
63.04  1.475  5.3
63.48  1.465  5.3
64.13  1.452  5.4
64.58  1.443  5.6